This entry pairs a crystal structure of DyTl2V3F12 with its computed X-ray powder pattern. Radiation: Cu Kα, 1.54184 Å. Structure: a crystal structure in Alexandria, relaxed with PBE+U.

Main lines, in order of rising 2θ (2θ = 10–80°):
- 5.467 Å, intensity 66
- 3.810 Å, intensity 79
- 3.360 Å, intensity 100
- 3.288 Å, intensity 47
- 3.254 Å, intensity 32
- 3.126 Å, intensity 52
- 2.520 Å, intensity 34
- 2.102 Å, intensity 41
- 1.905 Å, intensity 42
- 1.657 Å, intensity 29

Crystal structure
Cell lengths 7.8542, 7.8542, 7.8542 Å; angles 58.04, 58.04, 58.04 degrees
Element x y z (fractional)
Dy  0.0000  0.0000  0.0000
Tl  0.4077  0.4077  0.4077
Tl  0.5923  0.5923  0.5923
V  0.0000  0.0000  0.5000
V  0.0000  0.5000  0.0000
V  0.5000  0.0000  0.0000
F  0.0742  0.0742  0.6634
F  0.0742  0.6634  0.0742
F  0.0898  0.6818  0.6818
F  0.3182  0.3182  0.9102
F  0.3182  0.9102  0.3182
F  0.3366  0.9258  0.9258
F  0.6634  0.0742  0.0742
F  0.6818  0.0898  0.6818
F  0.6818  0.6818  0.0898
F  0.9102  0.3182  0.3182
F  0.9258  0.3366  0.9258
F  0.9258  0.9258  0.3366